For Ba2Co3AgF12, a cell relaxed with PBE+U gives the computed PXRD pattern in this record (Cu Ka).

Atomic structure:
Cell lengths 7.3907, 7.3907, 17.1030 Å; angles 90.00, 90.00, 120.00 degrees
Space group R-3m (No. 166, hexagonal axes)
Asymmetric unit:
Ba: 0.0000 0.0000 0.1130 [6 per cell]
Co: 0.0000 0.5000 0.0000 [9 per cell]
Ag: 0.0000 0.0000 0.5000 [3 per cell]
F: 0.0512 0.5256 0.3126 [18 per cell]
F: 0.0526 0.5263 0.8867 [18 per cell]

Peak list (10 most intense, 2θ from 15° to 90°, by angle)
hkl 1 1 0, 2θ 24.08, rel. 45.1; hkl 0 2 1, 2θ 28.37, rel. 48.1; hkl 1 1 3, 2θ 28.79, rel. 100.0; hkl 0 1 5, 2θ 29.61, rel. 49.8; hkl 2 0 2, 2θ 29.81, rel. 32.5; hkl 2 0 5, 2θ 38.52, rel. 27.4; hkl 0 3 3, 2θ 45.39, rel. 30.4; hkl 1 2 5, 2θ 45.95, rel. 32.3; hkl 2 2 0, 2θ 49.32, rel. 51.9; hkl 2 0 8, 2θ 51.40, rel. 22.2


For Ba2CoAg2Se2O2, a cell relaxed with PBE+U gives the computed PXRD pattern in this record (Cu Ka).

Atomic structure:
Cell lengths 4.1709, 4.1709, 21.3425 Å; angles 90.00, 90.00, 90.00 degrees
Space group I4/mmm (No. 139)
Asymmetric unit:
Ba: 0.0000 0.0000 0.0880 [4 per cell]
Co: 0.0000 0.0000 0.5000 [2 per cell]
Ag: 0.0000 0.5000 0.2500 [4 per cell]
Se: 0.0000 0.0000 0.3367 [4 per cell]
O: 0.0000 0.5000 0.0000 [4 per cell]

Peak list (10 most intense, 2θ from 15° to 90°, by angle)
hkl 1 0 5, 2θ 29.95, rel. 100.0; hkl 1 1 2, 2θ 31.47, rel. 56.3; hkl 1 1 4, 2θ 34.76, rel. 95.9; hkl 1 0 7, 2θ 36.50, rel. 54.1; hkl 2 0 0, 2θ 43.39, rel. 70.6; hkl 1 1 8, 2θ 45.87, rel. 23.0; hkl 2 1 5, 2θ 53.62, rel. 37.7; hkl 2 1 7, 2θ 57.96, rel. 27.5; hkl 2 2 0, 2θ 63.04, rel. 22.3; hkl 2 0 12, 2θ 69.45, rel. 35.1